Structure and calculated X-ray powder pattern of CoPO4 (the PBE+U geometry in Alexandria; λ = 1.5418 Å (Cu Kα)).

Most intense lines, 2θ = 10–90°, by angle:
| Position (°2θ) | I/Imax | hkl |
| --- | --- | --- |
| 20.3 | 36 | 0 1 2 |
| 21.3 | 100 | 3 -1 1 |
| 21.6 | 17 | 3 0 0 |
| 23.9 | 11 | 2 0 2 |
| 25.0 | 51 | 2 2 0 |
| 27.0 | 10 | 3 -2 2 |
| 31.3 | 39 | 2 -1 3 |
| 33.3 | 31 | 4 1 0 |
| 38.4 | 14 | 2 2 3 |
| 45.8 | 11 | 7 -3 1 |
| 48.2 | 18 | 6 -3 3 |
| 64.4 | 16 | 8 -1 3 |

Atomic structure:
```
data_CoPO4
_cell_length_a 14.2505
_cell_length_b 14.2505
_cell_length_c 9.3469
_cell_angle_alpha 90.00
_cell_angle_beta 90.00
_cell_angle_gamma 120.00
_space_group_name_H-M_alt 'R 3'
_space_group_IT_number 146
_space_group_name_Hall 'R 3'
loop_
_atom_site_label
_atom_site_type_symbol
_atom_site_fract_x
_atom_site_fract_y
_atom_site_fract_z
Co1 Co 0.0070 0.2012 0.0000
Co2 Co 0.0213 0.8088 0.5005
P1 P 0.1399 0.4558 0.0018
P2 P 0.1417 0.6772 0.5034
O1 O 0.0354 0.3435 0.0119
O2 O 0.0377 0.6867 0.5079
O3 O 0.0387 0.8530 0.6917
O4 O 0.0633 0.8689 0.9592
O5 O 0.1009 0.2243 0.3677
O6 O 0.1861 0.4724 0.8479
O7 O 0.2027 0.0950 0.4425
O8 O 0.2081 0.4503 0.5229
```